Calculated X-ray powder pattern of YMn10Cr2 for Cu Ka, from DFT lattice parameters and positions (GGA-PBE).

Structure:
abc: 8.3718 9.5131 8.0600
angles: 90.00 90.00 90.00
Space group Cmcm (No. 63)
Symmetry-distinct sites (fractional):
Y1 0.0000 0.1196 0.2500 [4 per cell]
Mn1 0.0000 0.1752 0.6065 [8 per cell]
Mn2 0.0000 0.3981 0.0710 [8 per cell]
Mn3 0.1326 0.3918 0.7500 [8 per cell]
Mn4 0.2294 0.0000 0.0000 [8 per cell]
Mn5 0.2505 0.1266 0.7500 [8 per cell]
Cr1 0.2500 0.2500 0.0000 [8 per cell]

Peak list (6 most intense, 2θ = 15–90°, most intense first)
(hkl)	2θ/deg	I/Imax
2 2 3	44.36	100
0 4 2	44.22	73
4 0 0	43.22	68
2 4 2	49.55	47
3 1 2	40.44	46
0 2 3	38.48	40